For LiDy2CrO5, DFT lattice parameters and positions (GGA+U) gives the simulated PXRD pattern in this record (Cu Kα X-rays).

Atomic structure:
```
data_LiDy2CrO5
_cell_length_a 6.470
_cell_length_b 6.470
_cell_length_c 5.678
_cell_angle_alpha 90.00
_cell_angle_beta 90.00
_cell_angle_gamma 90.00
_symmetry_space_group_name_H-M 'P 4/m b m'
_symmetry_Int_Tables_number 127
_symmetry_space_group_name_Hall '-P 4 2ab'
loop_
_atom_site_label
_atom_site_fract_x
_atom_site_fract_y
_atom_site_fract_z
_atom_site_occupancy
Li1 0.000 0.000 0.000 1
Dy1 0.178 0.322 0.500 1
Cr1 0.000 0.500 0.000 1
O1 0.000 0.000 0.500 1
O2 0.139 0.639 0.245 1
```

Main lines, in order of rising 2θ (2θ = 5–70°):
- hkl 0 0 1, 2θ = 15.61°, rel. 100
- hkl 2 1 0, 2θ = 30.91°, rel. 31
- hkl 0 0 2, 2θ = 31.51°, rel. 26
- hkl 2 0 1, 2θ = 31.84°, rel. 55
- hkl 2 1 1, 2θ = 34.80°, rel. 78
- hkl 2 1 2, 2θ = 44.72°, rel. 56